Computed powder XRD pattern of Pu2ZrSc12 for Cu Kα, from a cell relaxed with GGA-PBE.
Intensities are scaled so that the largest is 100.

Structural model:
Cell lengths 5.838, 5.838, 23.142 Å; angles 90.00, 90.00, 90.00 degrees
Space group P4/nbm (No. 125, origin choice 2)
Unique sites:
Pu  0.250  0.750  0.227 (multiplicity 4)
Zr  0.250  0.750  0.500 (multiplicity 2)
Sc  0.062  0.562  0.393 (multiplicity 8)
Sc  0.080  0.580  0.061 (multiplicity 8)
Sc  0.250  0.250  0.161 (multiplicity 4)
Sc  0.250  0.250  0.292 (multiplicity 4)

Peak list (8 most intense, 2θ = 10–90°, sorted by position)
index  2θ (°)  I/Imax
1 1 0  21.53  71
1 1 4  26.53  97
2 0 2  31.61  91
2 0 3  32.81  43
2 0 4  34.41  75
1 1 7  34.77  100
2 2 0  43.87  44
3 1 4  52.00  41

***

Computed powder XRD pattern of Cd2MoPdS for Cu Kα, from a cell relaxed with GGA-PBE.
Intensities are scaled so that the largest is 100.

Structural model:
Cell lengths 5.070, 5.070, 4.875 Å; angles 90.00, 90.00, 90.00 degrees
Space group P4/mmm (No. 123)
Unique sites:
Cd  0.000  0.500  0.000 (multiplicity 2)
Mo  0.000  0.000  0.500 (multiplicity 1)
Pd  0.000  0.000  0.000 (multiplicity 1)
S  0.500  0.500  0.500 (multiplicity 1)

Peak list (8 most intense, 2θ = 10–90°, sorted by position)
index  2θ (°)  I/Imax
1 0 0  17.49  78
0 0 1  18.20  50
1 1 1  30.96  84
2 0 0  35.41  100
0 0 2  36.87  45
2 2 0  50.94  34
2 0 2  52.05  64
2 2 2  64.53  33

***

Computed powder XRD pattern of CeHoGe2Pt5 for Cu Kα, from a cell relaxed with GGA-PBE.
Intensities are scaled so that the largest is 100.

Structural model:
Cell lengths 4.276, 4.276, 9.113 Å; angles 90.00, 90.00, 90.00 degrees
Space group P4/mmm (No. 123)
Unique sites:
Ce  0.000  0.000  0.000 (multiplicity 1)
Ho  0.000  0.000  0.500 (multiplicity 1)
Ge  0.500  0.500  0.367 (multiplicity 2)
Pt  0.000  0.500  0.228 (multiplicity 4)
Pt  0.500  0.500  0.000 (multiplicity 1)

Peak list (8 most intense, 2θ = 10–90°, sorted by position)
index  2θ (°)  I/Imax
1 1 2  35.64  100
0 0 4  39.56  13
1 1 3  42.17  15
2 0 0  42.27  42
2 0 4  59.27  17
2 2 0  61.32  14
1 1 6  69.22  11
3 1 2  72.98  25